Record 1
Simulated powder XRD pattern of Ta3NbIr6 for a wavelength of 1.5418 Å, from the PBE geometry in Alexandria.
Lines closer than 0.1° are merged.

Structural model:
Cell: 4.838 7.459 9.787 Å, 108.65 101.10 101.10°
Element x y z (fractional)
Ta: 0.047 0.352 0.299
Ta: 0.277 0.767 0.503
Ta: 0.358 0.463 0.106
Ta: 0.642 0.537 0.894
Ta: 0.723 0.233 0.497
Ta: 0.953 0.648 0.701
Nb: 0.174 0.051 0.894
Nb: 0.826 0.949 0.106
Ir: 0.049 0.346 0.797
Ir: 0.139 0.052 0.399
Ir: 0.242 0.753 0.002
Ir: 0.343 0.448 0.598
Ir: 0.438 0.149 0.199
Ir: 0.454 0.152 0.701
Ir: 0.546 0.848 0.299
Ir: 0.562 0.851 0.801
Ir: 0.657 0.552 0.402
Ir: 0.758 0.247 0.998
Ir: 0.861 0.948 0.601
Ir: 0.951 0.654 0.203

Top 12 peaks for 5° ≤ 2θ ≤ 70°, in order of rising 2θ:
| 2theta | I (rel.) |
| --- | --- |
| 9.92 | 2 |
| 13.13 | 1 |
| 31.43 | 1 |
| 39.12 | 100 |
| 39.26 | 100 |
| 44.92 | 34 |
| 45.18 | 34 |
| 46.57 | 31 |
| 65.61 | 22 |
| 66.51 | 10 |
| 66.89 | 21 |
| 66.92 | 10 |

=====

Record 2
Simulated powder XRD pattern of W3Se for a wavelength of 1.5418 Å, from the PBE geometry in Alexandria.
Lines closer than 0.1° are merged.

Structural model:
Cell: 5.354 7.984 6.044 Å, 90.00 90.00 90.00°
Element x y z (fractional)
W: 0.039 0.250 0.214
W: 0.249 0.044 0.579
W: 0.249 0.456 0.579
W: 0.251 0.544 0.079
W: 0.251 0.956 0.079
W: 0.461 0.750 0.714
W: 0.539 0.250 0.286
W: 0.749 0.044 0.921
W: 0.749 0.456 0.921
W: 0.751 0.544 0.421
W: 0.751 0.956 0.421
W: 0.961 0.750 0.786
Se: 0.142 0.750 0.387
Se: 0.358 0.250 0.887
Se: 0.642 0.750 0.113
Se: 0.858 0.250 0.613

Top 12 peaks for 5° ≤ 2θ ≤ 70°, in order of rising 2θ:
| 2theta | I (rel.) |
| --- | --- |
| 34.07 | 54 |
| 36.90 | 41 |
| 37.32 | 63 |
| 38.47 | 52 |
| 40.57 | 100 |
| 40.70 | 83 |
| 41.08 | 85 |
| 45.25 | 43 |
| 45.44 | 32 |
| 46.49 | 32 |
| 68.07 | 31 |
| 68.70 | 27 |

=====

Record 3
Simulated powder XRD pattern of Al2Zn3Cu4 for a wavelength of 1.5418 Å, from the PBE geometry in Alexandria.
Lines closer than 0.1° are merged.

Structural model:
Cell: 4.206 4.206 7.801 Å, 90.00 90.00 120.00°
Element x y z (fractional)
Al: 0.333 0.667 0.284
Al: 0.667 0.333 0.716
Zn: 0.000 0.000 0.500
Zn: 0.333 0.667 0.936
Zn: 0.667 0.333 0.064
Cu: 0.000 0.000 0.167
Cu: 0.000 0.000 0.833
Cu: 0.333 0.667 0.611
Cu: 0.667 0.333 0.389

Top 12 peaks for 5° ≤ 2θ ≤ 70°, in order of rising 2θ:
| 2theta | I (rel.) |
| --- | --- |
| 22.80 | 3 |
| 24.44 | 3 |
| 27.01 | 15 |
| 33.66 | 2 |
| 42.72 | 100 |
| 43.01 | 99 |
| 49.22 | 2 |
| 51.53 | 2 |
| 53.28 | 2 |
| 62.23 | 31 |
| 65.24 | 2 |
| 69.30 | 2 |

=====

Record 4
Simulated powder XRD pattern of Dy3Er4Th5 for a wavelength of 1.5418 Å, from the PBE geometry in Alexandria.
Lines closer than 0.1° are merged.

Structural model:
Cell: 6.228 6.228 13.312 Å, 104.86 104.86 52.29°
Element x y z (fractional)
Dy: 0.000 0.000 0.000
Dy: 0.456 0.456 0.224
Dy: 0.544 0.544 0.776
Er: 0.165 0.165 0.266
Er: 0.218 0.218 0.893
Er: 0.782 0.782 0.107
Er: 0.835 0.835 0.734
Th: 0.096 0.096 0.627
Th: 0.358 0.358 0.531
Th: 0.500 0.500 0.000
Th: 0.642 0.642 0.469
Th: 0.904 0.904 0.373

Top 12 peaks for 5° ≤ 2θ ≤ 70°, in order of rising 2θ:
| 2theta | I (rel.) |
| --- | --- |
| 29.59 | 89 |
| 29.78 | 100 |
| 32.17 | 21 |
| 32.32 | 16 |
| 32.63 | 68 |
| 34.34 | 44 |
| 35.57 | 19 |
| 36.18 | 36 |
| 48.10 | 35 |
| 49.51 | 31 |
| 56.36 | 15 |
| 56.47 | 19 |

=====

Record 5
Simulated powder XRD pattern of BBr for a wavelength of 1.5418 Å, from the PBE geometry in Alexandria.
Lines closer than 0.1° are merged.

Structural model:
Cell: 10.207 10.234 10.285 Å, 87.22 87.18 86.94°
Element x y z (fractional)
B: 0.000 0.000 0.000
B: 0.000 0.129 0.870
B: 0.036 0.965 0.836
B: 0.218 0.551 0.413
B: 0.250 0.385 0.383
B: 0.255 0.512 0.251
B: 0.360 0.495 0.491
B: 0.365 0.621 0.360
B: 0.383 0.380 0.256
B: 0.414 0.347 0.421
B: 0.422 0.543 0.218
B: 0.493 0.489 0.365
B: 0.760 0.021 0.891
B: 0.835 0.165 0.836
B: 0.835 0.966 0.035
B: 0.870 0.130 0.000
B: 0.890 0.020 0.762
B: 0.890 0.891 0.891
Br: 0.063 0.634 0.486
Br: 0.118 0.260 0.417
Br: 0.129 0.547 0.119
Br: 0.129 0.966 0.129
Br: 0.130 0.258 0.836
Br: 0.191 0.886 0.760
Br: 0.379 0.519 0.674
Br: 0.389 0.805 0.378
Br: 0.417 0.247 0.131
Br: 0.487 0.192 0.503
Br: 0.504 0.615 0.065
Br: 0.576 0.000 0.869
Br: 0.677 0.506 0.389
Br: 0.757 0.890 0.189
Br: 0.758 0.320 0.758
Br: 0.836 0.260 0.127
Br: 0.869 0.707 0.871
Br: 0.869 0.998 0.579

Top 12 peaks for 5° ≤ 2θ ≤ 70°, in order of rising 2θ:
| 2theta | I (rel.) |
| --- | --- |
| 11.95 | 41 |
| 21.73 | 23 |
| 21.85 | 45 |
| 24.04 | 55 |
| 26.11 | 51 |
| 26.20 | 100 |
| 26.69 | 32 |
| 27.14 | 35 |
| 27.26 | 33 |
| 28.04 | 25 |
| 29.69 | 28 |
| 34.52 | 20 |

=====

Record 6
Simulated powder XRD pattern of Pm2GaSbPd6 for a wavelength of 1.5418 Å, from the PBE geometry in Alexandria.
Lines closer than 0.1° are merged.

Structural model:
Cell: 5.507 6.598 6.621 Å, 86.02 65.66 65.42°
Element x y z (fractional)
Pm: 0.248 0.252 0.251
Pm: 0.752 0.748 0.749
Ga: 0.500 0.500 0.500
Sb: 0.000 0.000 0.000
Pd: 0.194 0.318 0.797
Pd: 0.259 0.922 0.563
Pd: 0.308 0.682 0.202
Pd: 0.692 0.318 0.798
Pd: 0.741 0.078 0.437
Pd: 0.806 0.682 0.203

Top 12 peaks for 5° ≤ 2θ ≤ 70°, in order of rising 2θ:
| 2theta | I (rel.) |
| --- | --- |
| 29.28 | 29 |
| 29.43 | 76 |
| 35.18 | 42 |
| 35.28 | 28 |
| 38.30 | 100 |
| 39.71 | 30 |
| 39.88 | 30 |
| 39.99 | 54 |
| 40.87 | 33 |
| 41.00 | 33 |
| 41.13 | 66 |
| 45.52 | 35 |

=====

Record 7
Simulated powder XRD pattern of Tb2PmDy4 for a wavelength of 1.5418 Å, from the PBE geometry in Alexandria.
Lines closer than 0.1° are merged.

Structural model:
Cell: 8.538 8.538 8.758 Å, 118.79 118.79 23.88°
Element x y z (fractional)
Tb: 0.070 0.070 0.430
Tb: 0.930 0.930 0.570
Pm: 0.000 0.000 0.000
Dy: 0.295 0.295 0.706
Dy: 0.358 0.358 0.164
Dy: 0.642 0.642 0.836
Dy: 0.705 0.705 0.294

Top 12 peaks for 5° ≤ 2θ ≤ 70°, in order of rising 2θ:
| 2theta | I (rel.) |
| --- | --- |
| 30.07 | 37 |
| 31.37 | 100 |
| 31.50 | 48 |
| 32.80 | 44 |
| 33.02 | 45 |
| 41.69 | 13 |
| 46.29 | 12 |
| 48.17 | 20 |
| 51.76 | 13 |
| 58.40 | 11 |
| 61.83 | 29 |
| 62.64 | 14 |

=====

Record 8
Simulated powder XRD pattern of Pm7Tl2Co2 for a wavelength of 1.5418 Å, from the PBE geometry in Alexandria.
Lines closer than 0.1° are merged.

Structural model:
Cell: 6.943 6.943 7.176 Å, 90.00 90.00 108.93°
Element x y z (fractional)
Pm: 0.000 0.000 0.000
Pm: 0.000 0.500 0.242
Pm: 0.000 0.500 0.758
Pm: 0.500 0.000 0.242
Pm: 0.500 0.000 0.758
Pm: 0.500 0.500 0.232
Pm: 0.500 0.500 0.768
Tl: 0.180 0.180 0.500
Tl: 0.820 0.820 0.500
Co: 0.293 0.707 0.000
Co: 0.707 0.293 0.000

Top 12 peaks for 5° ≤ 2θ ≤ 70°, in order of rising 2θ:
| 2theta | I (rel.) |
| --- | --- |
| 20.00 | 25 |
| 25.32 | 32 |
| 27.16 | 43 |
| 28.34 | 56 |
| 29.49 | 42 |
| 31.67 | 72 |
| 36.33 | 43 |
| 37.12 | 100 |
| 43.21 | 19 |
| 50.90 | 20 |
| 60.03 | 20 |
| 61.20 | 21 |

=====

Record 9
Simulated powder XRD pattern of Ca5IrO8 for a wavelength of 1.5418 Å, from the PBE geometry in Alexandria.
Lines closer than 0.1° are merged.

Structural model:
Cell: 6.242 6.242 6.242 Å, 111.55 111.55 105.38°
Element x y z (fractional)
Ca: 0.000 0.000 0.000
Ca: 0.112 0.263 0.594
Ca: 0.482 0.888 0.150
Ca: 0.668 0.518 0.406
Ca: 0.737 0.332 0.850
Ir: 0.250 0.750 0.500
O: 0.010 0.611 0.789
O: 0.257 0.524 0.199
O: 0.325 0.058 0.801
O: 0.389 0.178 0.399
O: 0.476 0.675 0.732
O: 0.779 0.990 0.601
O: 0.822 0.221 0.211
O: 0.942 0.743 0.268

Top 12 peaks for 5° ≤ 2θ ≤ 70°, in order of rising 2θ:
| 2theta | I (rel.) |
| --- | --- |
| 17.23 | 94 |
| 17.87 | 63 |
| 29.69 | 59 |
| 30.83 | 100 |
| 34.87 | 21 |
| 37.91 | 63 |
| 40.34 | 50 |
| 40.64 | 18 |
| 47.48 | 42 |
| 55.16 | 20 |
| 58.82 | 19 |
| 60.02 | 21 |

=====

Record 10
Simulated powder XRD pattern of NiIr2Rh3 for a wavelength of 1.5418 Å, from the PBE geometry in Alexandria.
Lines closer than 0.1° are merged.

Structural model:
Cell: 5.273 7.284 4.555 Å, 90.00 90.00 90.00°
Element x y z (fractional)
Ni: 0.000 0.000 0.000
Ni: 0.500 0.500 0.500
Ir: 0.135 0.340 0.000
Ir: 0.365 0.840 0.500
Ir: 0.635 0.160 0.500
Ir: 0.865 0.660 0.000
Rh: 0.000 0.500 0.500
Rh: 0.130 0.153 0.500
Rh: 0.370 0.653 0.000
Rh: 0.500 0.000 0.000
Rh: 0.630 0.347 0.000
Rh: 0.870 0.847 0.500

Top 12 peaks for 5° ≤ 2θ ≤ 70°, in order of rising 2θ:
| 2theta | I (rel.) |
| --- | --- |
| 20.80 | 9 |
| 23.03 | 20 |
| 28.65 | 12 |
| 29.82 | 5 |
| 36.24 | 65 |
| 39.57 | 62 |
| 41.47 | 15 |
| 42.18 | 100 |
| 42.32 | 7 |
| 46.99 | 76 |
| 54.73 | 40 |
| 65.60 | 22 |

=====

Record 11
Simulated powder XRD pattern of Pu2Si4Ni3Ir for a wavelength of 1.5418 Å, from the PBE geometry in Alexandria.
Lines closer than 0.1° are merged.

Structural model:
Cell: 3.988 3.988 9.714 Å, 90.00 90.00 90.00°
Element x y z (fractional)
Pu: 0.000 0.500 0.242
Pu: 0.500 0.000 0.758
Si: 0.000 0.000 0.000
Si: 0.000 0.500 0.639
Si: 0.500 0.000 0.361
Si: 0.500 0.500 0.000
Ni: 0.000 0.500 0.878
Ni: 0.500 0.000 0.122
Ni: 0.500 0.500 0.500
Ir: 0.000 0.000 0.500

Top 12 peaks for 5° ≤ 2θ ≤ 70°, in order of rising 2θ:
| 2theta | I (rel.) |
| --- | --- |
| 24.13 | 58 |
| 31.73 | 14 |
| 33.08 | 17 |
| 35.72 | 64 |
| 36.86 | 100 |
| 37.02 | 14 |
| 45.49 | 42 |
| 52.15 | 16 |
| 52.39 | 22 |
| 59.15 | 30 |
| 60.04 | 14 |
| 66.61 | 16 |

=====

Record 12
Simulated powder XRD pattern of PrSm4Th for a wavelength of 1.5418 Å, from the PBE geometry in Alexandria.
Lines closer than 0.1° are merged.

Structural model:
Cell: 3.620 6.278 9.646 Å, 77.79 79.21 73.62°
Element x y z (fractional)
Pr: 0.000 0.000 0.000
Sm: 0.335 0.992 0.339
Sm: 0.336 0.503 0.825
Sm: 0.664 0.497 0.175
Sm: 0.665 0.008 0.661
Th: 0.000 0.500 0.500

Top 12 peaks for 5° ≤ 2θ ≤ 70°, in order of rising 2θ:
| 2theta | I (rel.) |
| --- | --- |
| 30.09 | 100 |
| 30.19 | 33 |
| 34.71 | 23 |
| 34.92 | 23 |
| 35.12 | 22 |
| 50.12 | 16 |
| 50.29 | 16 |
| 59.37 | 14 |
| 59.64 | 15 |
| 59.81 | 10 |
| 59.93 | 10 |
| 62.56 | 12 |